CePaCu10: calculated XRD peak list (copper Kα), based on a crystal structure in Alexandria, relaxed with PBE.

Top 10 peaks for 15 to 90 degrees two-theta, in order of rising 2θ:
d/Å	2theta	I_rel
2.998	29.80	55
2.530	35.48	22
2.195	41.12	24
2.189	41.24	12
2.156	41.91	100
2.054	44.09	26
1.595	57.80	16
1.499	61.89	21
1.379	68.00	15
1.205	79.59	14

a = 4.1081 Å, b = 5.0741 Å, c = 8.7563 Å
α = 90.00°, β = 90.00°, γ = 90.00°
Fractional positions:
Ce1 0.0000 0.0000 0.0000
Pa1 0.0000 0.5000 0.5000
Cu1 0.0000 0.0000 0.3355
Cu2 0.0000 0.0000 0.6645
Cu3 0.0000 0.5000 0.1691
Cu4 0.0000 0.5000 0.8309
Cu5 0.5000 0.0000 0.5000
Cu6 0.5000 0.2542 0.2560
Cu7 0.5000 0.2542 0.7440
Cu8 0.5000 0.5000 0.0000
Cu9 0.5000 0.7458 0.2560
Cu10 0.5000 0.7458 0.7440


Li6Sn5Au: calculated XRD peak list (copper Kα), based on a crystal structure in Alexandria, relaxed with PBE.

Top 10 peaks for 15 to 90 degrees two-theta, in order of rising 2θ:
d/Å	2theta	I_rel
4.263	20.84	100
3.065	29.14	44
3.022	29.55	42
2.492	36.04	30
2.483	36.18	58
2.451	36.67	28
2.154	41.94	21
2.150	42.02	20
2.131	42.41	19
1.914	47.50	23

a = 5.1941 Å, b = 6.1295 Å, c = 8.0394 Å
α = 112.22°, β = 90.07°, γ = 90.07°
Fractional positions:
Li1 0.9997 0.2483 0.9999
Li2 0.0003 0.7517 0.0001
Li3 0.3337 0.4118 0.3274
Li4 0.3336 0.9155 0.3274
Li5 0.6664 0.0845 0.6726
Li6 0.6663 0.5882 0.6726
Sn1 0.1590 0.3288 0.6578
Sn2 0.1793 0.8412 0.6807
Sn3 0.5000 0.5000 0.0000
Sn4 0.8207 0.1588 0.3193
Sn5 0.8410 0.6712 0.3422
Au1 0.5000 0.0000 0.0000


Ho6Mg2Hg: calculated XRD peak list (copper Kα), based on a crystal structure in Alexandria, relaxed with PBE.

Top 10 peaks for 15 to 90 degrees two-theta, in order of rising 2θ:
d/Å	2theta	I_rel
4.514	19.67	35
3.328	26.79	33
3.033	29.45	28
2.914	30.68	47
2.903	30.80	50
2.790	32.08	100
2.651	33.81	60
2.460	36.53	27
2.449	36.70	28
1.883	48.33	22

a = 6.2214 Å, b = 9.3991 Å, c = 10.1631 Å
α = 90.00°, β = 117.34°, γ = 90.00°
Fractional positions:
Ho1 0.0608 0.1678 0.4640
Ho2 0.0608 0.3322 0.9640
Ho3 0.3577 0.6915 0.4314
Ho4 0.3577 0.8085 0.9314
Ho5 0.4305 0.0392 0.3112
Ho6 0.4305 0.4608 0.8112
Ho7 0.5695 0.5392 0.1888
Ho8 0.5695 0.9608 0.6888
Ho9 0.6423 0.1915 0.0686
Ho10 0.6423 0.3085 0.5686
Ho11 0.9392 0.6678 0.0360
Ho12 0.9392 0.8322 0.5360
Mg1 0.1399 0.1032 0.7738
Mg2 0.1399 0.3968 0.2738
Mg3 0.8601 0.6032 0.7262
Mg4 0.8601 0.8968 0.2262
Hg1 0.0000 0.0000 0.0000
Hg2 0.0000 0.5000 0.5000


K2Ag2F5: calculated XRD peak list (copper Kα), based on a crystal structure in Alexandria, relaxed with PBE.

Top 10 peaks for 15 to 90 degrees two-theta, in order of rising 2θ:
d/Å	2theta	I_rel
4.417	20.10	46
4.187	21.22	22
3.123	28.58	45
3.039	29.39	100
2.791	32.07	13
2.360	38.14	15
2.208	40.86	44
1.786	51.13	40
1.739	52.63	13
1.562	59.17	13

a = 4.4168 Å, b = 4.4168 Å, c = 8.3739 Å
α = 90.00°, β = 90.00°, γ = 90.00°
Fractional positions:
K1 0.0000 0.0000 0.0000
K2 0.0000 0.0000 0.5000
Ag1 0.5000 0.5000 0.2176
Ag2 0.5000 0.5000 0.7824
F1 0.0000 0.5000 0.2001
F2 0.0000 0.5000 0.7999
F3 0.5000 0.0000 0.2001
F4 0.5000 0.0000 0.7999
F5 0.5000 0.5000 0.5000


La3Nd3Dy: calculated XRD peak list (copper Kα), based on a crystal structure in Alexandria, relaxed with PBE.

Top 10 peaks for 15 to 90 degrees two-theta, in order of rising 2θ:
d/Å	2theta	I_rel
3.235	27.57	23
2.973	30.06	25
2.842	31.48	100
2.189	41.24	16
1.868	48.76	20
1.690	54.28	21
1.581	58.35	23
1.561	59.20	16
1.198	80.14	14
1.163	83.04	8

a = 9.8828 Å, b = 9.8828 Å, c = 5.9456 Å
α = 90.00°, β = 90.00°, γ = 120.00°
Fractional positions:
La1 0.0477 0.2424 0.2500
La2 0.1948 0.9523 0.2500
La3 0.2424 0.1948 0.7500
La4 0.7576 0.8052 0.2500
La5 0.8052 0.0477 0.7500
La6 0.9523 0.7576 0.7500
Nd1 0.0954 0.4803 0.7500
Nd2 0.3849 0.9046 0.7500
Nd3 0.4803 0.3849 0.2500
Nd4 0.5197 0.6151 0.7500
Nd5 0.6151 0.0954 0.2500
Nd6 0.9046 0.5197 0.2500
Dy1 0.3333 0.6667 0.2500
Dy2 0.6667 0.3333 0.7500


CeEr6Te8: calculated XRD peak list (copper Kα), based on a crystal structure in Alexandria, relaxed with PBE.

Top 10 peaks for 15 to 90 degrees two-theta, in order of rising 2θ:
d/Å	2theta	I_rel
4.315	20.58	4
3.680	24.19	4
3.051	29.27	100
2.800	31.97	4
2.729	32.82	3
2.157	41.87	75
1.762	51.91	26
1.526	60.71	12
1.364	68.80	33
1.246	76.48	24

a = 8.6296 Å, b = 8.6296 Å, c = 8.6296 Å
α = 60.00°, β = 60.00°, γ = 60.00°
Fractional positions:
Ce1 0.0000 0.0000 0.0000
Er1 0.0000 0.0000 0.5000
Er2 0.0000 0.5000 0.0000
Er3 0.0000 0.5000 0.5000
Er4 0.5000 0.0000 0.0000
Er5 0.5000 0.0000 0.5000
Er6 0.5000 0.5000 0.0000
Te1 0.2500 0.2500 0.2500
Te2 0.2626 0.2626 0.7374
Te3 0.2626 0.7374 0.2626
Te4 0.2626 0.7374 0.7374
Te5 0.7374 0.2626 0.2626
Te6 0.7374 0.2626 0.7374
Te7 0.7374 0.7374 0.2626
Te8 0.7500 0.7500 0.7500


KIrS: calculated XRD peak list (copper Kα), based on a crystal structure in Alexandria, relaxed with PBE.

Top 10 peaks for 15 to 90 degrees two-theta, in order of rising 2θ:
d/Å	2theta	I_rel
5.357	16.55	100
3.571	24.93	59
3.311	26.93	45
2.740	32.69	54
2.724	32.88	37
2.663	33.66	70
2.646	33.88	73
2.453	36.64	76
2.426	37.06	72
2.066	43.82	33

a = 3.6081 Å, b = 4.2111 Å, c = 10.7160 Å
α = 90.00°, β = 91.02°, γ = 90.00°
Fractional positions:
K1 0.2343 0.0000 0.2079
K2 0.7657 0.5000 0.7921
Ir1 0.2484 0.6240 0.4715
Ir2 0.7516 0.1240 0.5285
S1 0.2579 0.9639 0.6468
S2 0.7421 0.4639 0.3532


Sr2LiCu2: calculated XRD peak list (copper Kα), based on a crystal structure in Alexandria, relaxed with PBE.

Top 10 peaks for 15 to 90 degrees two-theta, in order of rising 2θ:
d/Å	2theta	I_rel
3.706	24.01	17
2.977	30.02	60
2.832	31.59	63
2.605	34.43	100
2.492	36.04	34
2.172	41.57	28
2.122	42.61	24
1.943	46.74	31
1.723	53.14	28
1.433	65.10	30

a = 7.9100 Å, b = 7.9100 Å, c = 4.2439 Å
α = 90.00°, β = 90.00°, γ = 148.13°
Fractional positions:
Sr1 0.1366 0.8634 0.0000
Sr2 0.8634 0.1366 0.0000
Li1 0.5000 0.5000 0.5000
Cu1 0.2921 0.7079 0.5000
Cu2 0.7079 0.2921 0.5000


KPmIn2Cl6: calculated XRD peak list (copper Kα), based on a crystal structure in Alexandria, relaxed with PBE.

Top 10 peaks for 15 to 90 degrees two-theta, in order of rising 2θ:
d/Å	2theta	I_rel
5.616	15.78	48
4.019	22.12	100
3.925	22.65	97
3.380	26.37	45
2.808	31.87	71
2.536	35.40	88
2.284	39.45	61
2.266	39.77	58
1.913	47.54	24
1.575	58.62	22

a = 8.0426 Å, b = 8.0426 Å, c = 8.0426 Å
α = 58.43°, β = 58.43°, γ = 58.43°
Fractional positions:
K1 0.0000 0.0000 0.0000
Pm1 0.4926 0.4926 0.4926
In1 0.2865 0.2865 0.2865
In2 0.7893 0.7893 0.7893
Cl1 0.1463 0.6826 0.3805
Cl2 0.2378 0.6229 0.8247
Cl3 0.3805 0.1463 0.6826
Cl4 0.6229 0.8247 0.2379
Cl5 0.6826 0.3805 0.1463
Cl6 0.8247 0.2379 0.6229


Li27Sb10: calculated XRD peak list (copper Kα), based on a crystal structure in Alexandria, relaxed with PBE.

Top 10 peaks for 15 to 90 degrees two-theta, in order of rising 2θ:
d/Å	2theta	I_rel
3.772	23.59	100
3.281	27.18	34
3.238	27.55	15
2.320	38.81	18
2.305	39.08	33
1.976	45.92	33
1.957	46.39	15
1.885	48.27	10
1.497	62.00	6
1.336	70.47	8

a = 12.2555 Å, b = 12.2555 Å, c = 7.9740 Å
α = 95.98°, β = 95.98°, γ = 142.07°
Fractional positions:
Li1 0.0000 0.0000 0.0000
Li2 0.0099 0.2225 0.8815
Li3 0.0874 0.6854 0.6467
Li4 0.1021 0.8979 0.5000
Li5 0.1480 0.1480 0.3848
Li6 0.1550 0.5669 0.1135
Li7 0.2225 0.0099 0.8815
Li8 0.2893 0.4709 0.6168
Li9 0.3046 0.6954 0.5000
Li10 0.3146 0.9126 0.3533
Li11 0.3873 0.3873 0.1433
Li12 0.3961 0.6039 0.0000
Li13 0.4331 0.8450 0.8865
Li14 0.4709 0.2893 0.6168
Li15 0.5291 0.7107 0.3832
Li16 0.5669 0.1550 0.1135
Li17 0.6039 0.3961 0.0000
Li18 0.6127 0.6127 0.8567
Li19 0.6854 0.0874 0.6467
Li20 0.6954 0.3046 0.5000
Li21 0.7107 0.5291 0.3832
Li22 0.7775 0.9901 0.1185
Li23 0.8450 0.4331 0.8865
Li24 0.8520 0.8520 0.6152
Li25 0.8979 0.1021 0.5000
Li26 0.9126 0.3146 0.3533
Li27 0.9901 0.7775 0.1185
Sb1 0.0636 0.4543 0.7356
Sb2 0.1522 0.3545 0.2485
Sb3 0.2344 0.2344 0.7616
Sb4 0.3545 0.1522 0.2485
Sb5 0.4543 0.0636 0.7356
Sb6 0.5457 0.9364 0.2644
Sb7 0.6455 0.8478 0.7515
Sb8 0.7656 0.7656 0.2384
Sb9 0.8478 0.6455 0.7515
Sb10 0.9364 0.5457 0.2644


K3GePt2: calculated XRD peak list (copper Kα), based on a crystal structure in Alexandria, relaxed with PBE.

Top 10 peaks for 15 to 90 degrees two-theta, in order of rising 2θ:
d/Å	2theta	I_rel
4.832	18.36	100
3.649	24.39	55
2.867	31.19	46
2.755	32.50	50
2.703	33.14	49
2.629	34.10	57
2.375	37.89	68
2.211	40.82	49
1.774	51.51	42
1.624	56.69	47

a = 8.2312 Å, b = 3.8138 Å, c = 12.5798 Å
α = 90.00°, β = 93.87°, γ = 90.00°
Fractional positions:
K1 0.0011 0.2500 0.2500
K2 0.2986 0.2500 0.5297
K3 0.2989 0.7500 0.0301
K4 0.7011 0.2500 0.9699
K5 0.7014 0.7500 0.4703
K6 0.9989 0.7500 0.7500
Ge1 0.4987 0.7500 0.7501
Ge2 0.5013 0.2500 0.2499
Pt1 0.3415 0.2500 0.8081
Pt2 0.3440 0.7500 0.3077
Pt3 0.6560 0.2500 0.6923
Pt4 0.6585 0.7500 0.1919


La4Te2IrS: calculated XRD peak list (copper Kα), based on a crystal structure in Alexandria, relaxed with PBE.

Top 10 peaks for 15 to 90 degrees two-theta, in order of rising 2θ:
d/Å	2theta	I_rel
3.135	28.47	52
3.112	28.69	100
2.256	39.97	17
2.238	40.30	35
2.180	41.41	39
2.149	42.04	20
1.799	50.76	11
1.772	51.56	20
1.556	59.40	11
1.266	75.04	10

a = 7.5898 Å, b = 4.2981 Å, c = 7.8664 Å
α = 90.00°, β = 108.53°, γ = 90.00°
Fractional positions:
La1 0.2267 0.0000 0.2101
La2 0.2564 0.5000 0.7820
La3 0.7436 0.5000 0.2180
La4 0.7733 0.0000 0.7899
Te1 0.0000 0.0000 0.5000
Te2 0.5000 0.5000 0.5000
Ir1 0.0000 0.5000 0.0000
S1 0.5000 0.0000 0.0000